Computed XRD peak list
Compound: Pb4SeS3
Radiation: CuKα
Structure: a PBE-relaxed structure

Largest 8 diffraction maxima, most intense first, 10 to 80 degrees two-theta:
2theta  I_rel
29.6  100
25.5  57
42.1  39
42.4  37
52.3  21
50.0  20
25.7  18
69.3  18

Cell and atoms:
```
Pb4SeS3
1.0
2.1456 1.2388 13.8578
-2.1456 1.2388 13.8578
0.0000 -2.4775 13.8578
Pb Se S
4 1 3
direct
0.1232 0.1232 0.1232 Pb
0.3747 0.3747 0.3747 Pb
0.6253 0.6253 0.6253 Pb
0.8768 0.8768 0.8768 Pb
0.5000 0.5000 0.5000 Se
0.0000 0.0000 0.0000 S
0.2505 0.2505 0.2505 S
0.7495 0.7495 0.7495 S
```